Record 1
Calculated powder XRD pattern
Compound: Tm2Ge2AsP3
Radiation: copper Kα
Structure: a structure optimized by DFT (PBE)
Neutral-atom scattering factors, no anomalous dispersion.

Peak list (8 most intense, 2θ = 5–70°, in order of rising 2θ)
2θ/deg  Rel. int.  h k l
14.0  26  0 0 1
27.3  28  1 1 1
30.0  22  3 1 0
31.1  100  3 1 -1
34.4  48  2 0 2
45.9  24  6 0 -2
46.7  36  5 1 1
47.3  30  1 1 -3

Cell and atoms:
a b c (Å): 13.029 4.199 6.494
angles (deg): 90.00 102.90 90.00
Space group C2 (No. 5)
Unique sites:
Tm 0.131 0.000 0.381
Ge 0.121 0.328 0.884
As 0.000 0.496 0.500
P 0.000 0.959 0.000
P 0.236 0.504 0.219


Record 2
Calculated powder XRD pattern
Compound: ZnGeAsP
Radiation: copper Kα
Structure: a structure optimized by DFT (PBE)
Neutral-atom scattering factors, no anomalous dispersion.

Peak list (8 most intense, 2θ = 5–70°, in order of rising 2θ)
2θ/deg  Rel. int.  h k l
22.4  5  1 1 0
27.6  100  1 1 2
45.7  24  2 2 0
46.0  23  0 2 4
46.1  23  2 0 4
54.2  15  1 3 2
54.4  14  3 1 2
54.8  14  1 1 6

Cell and atoms:
a b c (Å): 5.597 5.628 11.084
angles (deg): 90.00 90.00 90.00
Space group I2_12_12_1 (No. 24)
Unique sites:
Zn 0.000 0.250 0.116
Ge 0.000 0.250 0.622
As 0.244 0.000 0.250
P 0.250 0.493 0.500


Record 3
Calculated powder XRD pattern
Compound: ZnGeAsP
Radiation: copper Kα
Structure: a structure optimized by DFT (PBE)
Neutral-atom scattering factors, no anomalous dispersion.

Peak list (8 most intense, 2θ = 5–70°, in order of rising 2θ)
2θ/deg  Rel. int.  h k l
27.6  100  0 2 1
27.7  33  2 0 -2
45.7  32  0 4 0
46.0  31  2 2 1
46.1  31  2 2 -3
54.2  19  4 2 -1
54.3  19  2 4 -2
66.6  10  4 4 -2

Cell and atoms:
a b c (Å): 7.944 7.945 6.793
angles (deg): 90.00 125.50 90.00
Space group Cc (No. 9)
Unique sites:
Zn 0.000 0.133 0.000
Ge 0.015 0.382 0.500
As 0.134 0.125 0.750
P 0.132 0.376 0.250


Record 4
Calculated powder XRD pattern
Compound: Zn2Ge2As3P
Radiation: copper Kα
Structure: a structure optimized by DFT (PBE)
Neutral-atom scattering factors, no anomalous dispersion.

Peak list (8 most intense, 2θ = 5–70°, in order of rising 2θ)
2θ/deg  Rel. int.  h k l
27.3  100  3 1 -1
45.2  25  2 2 -2
45.5  36  4 2 0
45.7  12  6 0 -2
53.6  22  1 3 1
53.7  7  5 1 -3
54.1  7  5 1 1
54.3  7  7 1 -1

Cell and atoms:
a b c (Å): 12.523 5.685 5.673
angles (deg): 90.00 116.64 90.00
Space group C2 (No. 5)
Unique sites:
Zn 0.121 0.000 0.362
Ge 0.123 0.485 0.880
As 0.000 0.740 0.500
As 0.250 0.241 0.748
P 0.000 0.245 0.000


Record 5
Calculated powder XRD pattern
Compound: PrGeAs3Pd6
Radiation: copper Kα
Structure: a structure optimized by DFT (PBE)
Neutral-atom scattering factors, no anomalous dispersion.

Peak list (8 most intense, 2θ = 5–70°, in order of rising 2θ)
2θ/deg  Rel. int.  h k l
32.8  26  1 1 1
35.7  100  2 0 1
37.1  30  2 1 0
43.5  37  2 1 1
44.8  27  0 0 2
49.2  27  2 2 0
59.5  15  2 1 2
68.7  19  2 2 2

Cell and atoms:
a b c (Å): 7.4028 7.4028 4.0496
angles (deg): 90.00 90.00 120.00
Space group P-6m2 (No. 187)
Unique sites:
Pr 0.0000 0.0000 0.0000
Ge 0.3333 0.6667 0.0000
As 0.3787 0.1894 0.5000
Pd 0.2005 0.4010 0.5000
Pd 0.5351 0.0702 0.0000


Record 6
Calculated powder XRD pattern
Compound: PrGeAs3Pt6
Radiation: copper Kα
Structure: a structure optimized by DFT (PBE)
Neutral-atom scattering factors, no anomalous dispersion.

Peak list (8 most intense, 2θ = 5–70°, in order of rising 2θ)
2θ/deg  Rel. int.  h k l
25.4  13  1 0 1
35.4  100  2 0 1
37.5  20  2 1 0
42.7  15  3 0 0
42.9  25  0 0 2
43.4  35  2 1 1
49.7  22  2 2 0
67.7  18  2 2 2

Cell and atoms:
a b c (Å): 7.3339 7.3339 4.2139
angles (deg): 90.00 90.00 120.00
Space group P-6m2 (No. 187)
Unique sites:
Pr 0.0000 0.0000 0.0000
Ge 0.3333 0.6667 0.0000
As 0.3875 0.1937 0.5000
Pt 0.1947 0.3894 0.5000
Pt 0.5320 0.0640 0.0000


Record 7
Calculated powder XRD pattern
Compound: GeAsPt2
Radiation: copper Kα
Structure: a structure optimized by DFT (PBE)
Neutral-atom scattering factors, no anomalous dispersion.

Peak list (8 most intense, 2θ = 5–70°, in order of rising 2θ)
2θ/deg  Rel. int.  h k l
27.2  69  1 1 0
28.4  22  0 2 0
30.8  21  0 0 2
40.2  44  1 2 1
41.6  100  1 1 2
42.4  35  0 2 2
47.3  27  2 0 0
49.5  24  1 3 0

Cell and atoms:
a b c (Å): 3.846 6.290 5.801
angles (deg): 90.00 90.00 90.00
Space group Pmc2_1 (No. 26)
Unique sites:
Ge 0.000 0.163 0.000
As 0.500 0.336 0.394
Pt 0.000 0.448 0.686
Pt 0.500 0.048 0.699


Record 8
Calculated powder XRD pattern
Compound: Th4GeAs3
Radiation: copper Kα
Structure: a structure optimized by DFT (PBE)
Neutral-atom scattering factors, no anomalous dispersion.

Peak list (8 most intense, 2θ = 5–70°, in order of rising 2θ)
2θ/deg  Rel. int.  h k l
25.6  45  1 1 1
29.6  100  2 0 0
42.4  77  2 2 0
50.2  23  3 1 1
52.5  28  2 2 2
61.5  13  4 0 0
67.7  10  3 3 1
69.7  36  4 2 0

Cell and atoms:
a b c (Å): 6.033 6.033 6.033
angles (deg): 90.00 90.00 90.00
Space group Pm-3m (No. 221)
Unique sites:
Th 0.000 0.000 0.000
Th 0.000 0.500 0.500
Ge 0.500 0.500 0.500
As 0.000 0.000 0.500


Record 9
Calculated powder XRD pattern
Compound: Hg3As2H2O8
Radiation: copper Kα
Structure: a structure optimized by DFT (PBE)
Neutral-atom scattering factors, no anomalous dispersion.

Peak list (8 most intense, 2θ = 5–70°, in order of rising 2θ)
2θ/deg  Rel. int.  h k l
13.8  28  1 1 0
17.0  35  2 0 0
26.0  73  2 2 -1
27.8  100  4 0 -2
32.5  54  1 1 -3
34.3  27  1 3 0
35.7  42  3 1 1
42.4  21  1 1 3

Cell and atoms:
a b c (Å): 12.920 8.108 9.535
angles (deg): 90.00 126.09 90.00
Space group C2/c (No. 15)
Unique sites:
Hg 0.000 0.244 0.250
Hg 0.070 0.150 0.917
As 0.197 0.423 0.634
H 0.148 0.463 0.834
O 0.104 0.488 0.701
O 0.134 0.239 0.524
O 0.148 0.114 0.190
O 0.197 0.425 0.010


Record 10
Calculated powder XRD pattern
Compound: LiZnAsH2O5
Radiation: copper Kα
Structure: a structure optimized by DFT (PBE)
Neutral-atom scattering factors, no anomalous dispersion.

Peak list (8 most intense, 2θ = 5–70°, in order of rising 2θ)
2θ/deg  Rel. int.  h k l
13.5  100  1 1 0
20.6  69  0 1 1
26.8  77  3 1 0
29.2  74  1 2 1
35.4  35  0 0 2
37.4  23  0 3 1
45.0  23  3 1 2
64.9  23  0 3 3

Cell and atoms:
a b c (Å): 10.905 8.187 5.074
angles (deg): 90.00 90.00 90.00
Space group Pna2_1 (No. 33)
Unique sites:
Li 0.177 0.167 0.000
Zn 0.118 0.368 0.501
As 0.170 0.583 0.997
H 0.022 0.963 0.328
H 0.043 0.832 0.560
O 0.011 0.081 0.994
O 0.046 0.692 0.891
O 0.162 0.387 0.873
O 0.181 0.570 0.334
O 0.201 0.172 0.372